Diffraction record for Sr2TlI2. The X-ray powder pattern is theoretical, not measured: it uses DFT lattice parameters and positions (PBE) and CuKα.

The 6 most intense peaks (10 to 90 degrees two-theta), by angle:
2theta  I_rel
23.3  57
28.7  100
30.6  73
38.2  23
43.6  22
49.7  38

Structure:
Cell: 9.243 9.243 4.717 Å, 90.00 90.00 90.00°
Space group P4/mbm (No. 127)
One atom of each set of equivalent atoms:
Sr 0.174 0.326 0.000 [4 per cell]
Tl 0.000 0.000 0.000 [2 per cell]
I 0.141 0.641 0.500 [4 per cell]

Diffraction record for SrYTlI6. The X-ray powder pattern is theoretical, not measured: it uses DFT lattice parameters and positions (PBE) and CuKα.

The 6 most intense peaks (10 to 90 degrees two-theta), by angle:
2theta  I_rel
17.2  52
24.7  100
32.4  71
35.5  24
38.0  46
42.3  23

Structure:
Cell: 8.1987 8.1987 15.0030 Å, 90.00 90.00 120.00°
Space group P-31c (No. 163)
One atom of each set of equivalent atoms:
Sr 0.3333 0.6667 0.2500 [2 per cell]
Y 0.3333 0.6667 0.7500 [2 per cell]
Tl 0.0000 0.0000 0.0000 [2 per cell]
I 0.0229 0.3738 0.6308 [12 per cell]

Diffraction record for Sr2WI. The X-ray powder pattern is theoretical, not measured: it uses DFT lattice parameters and positions (PBE) and CuKα.

The 6 most intense peaks (10 to 90 degrees two-theta), by angle:
2theta  I_rel
26.0  100
28.7  72
39.1  67
41.1  27
48.8  33
65.7  27

Structure:
Cell: 8.793 8.793 8.236 Å, 90.00 90.00 90.00°
Space group I-42d (No. 122)
One atom of each set of equivalent atoms:
Sr 0.241 0.250 0.125 [8 per cell]
W 0.000 0.000 0.000 [4 per cell]
I 0.000 0.000 0.500 [4 per cell]

Diffraction record for Sr2YI7. The X-ray powder pattern is theoretical, not measured: it uses DFT lattice parameters and positions (PBE) and CuKα.

The 6 most intense peaks (10 to 90 degrees two-theta), by angle:
2theta  I_rel
24.0  39
26.8  100
28.1  42
28.6  77
30.9  40
35.4  39

Structure:
Cell: 8.309 14.343 15.167 Å, 90.00 97.65 90.00°
Space group P2_1 (No. 4)
One atom of each set of equivalent atoms:
Sr 0.110 0.000 0.188 [2 per cell]
Sr 0.183 0.166 0.683 [2 per cell]
Sr 0.256 0.752 0.839 [2 per cell]
Sr 0.288 0.425 0.333 [2 per cell]
Y 0.386 0.460 0.934 [2 per cell]
Y 0.389 0.710 0.446 [2 per cell]
I 0.079 0.974 0.783 [2 per cell]
I 0.110 0.578 0.466 [2 per cell]
I 0.111 0.213 0.275 [2 per cell]
I 0.121 0.590 0.985 [2 per cell]
I 0.134 0.847 0.360 [2 per cell]
I 0.164 0.297 0.874 [2 per cell]
I 0.263 0.528 0.746 [2 per cell]
I 0.304 0.848 0.068 [2 per cell]
I 0.315 0.331 0.553 [2 per cell]
I 0.382 0.782 0.635 [2 per cell]
I 0.386 0.046 0.521 [2 per cell]
I 0.393 0.124 0.072 [2 per cell]
I 0.409 0.647 0.254 [2 per cell]
I 0.419 0.400 0.129 [2 per cell]

Diffraction record for TaI4. The X-ray powder pattern is theoretical, not measured: it uses DFT lattice parameters and positions (PBE) and CuKα.

The 6 most intense peaks (10 to 90 degrees two-theta), by angle:
2theta  I_rel
12.1  45
12.3  100
12.5  68
14.3  46
26.9  63
27.1  46

Structure:
Cell: 7.675 11.184 11.333 Å, 81.22 86.79 73.06°
Space group P-1 (No. 2)
One atom of each set of equivalent atoms:
Ta 0.111 0.406 0.339 [2 per cell]
Ta 0.186 0.172 0.225 [2 per cell]
I 0.019 0.190 0.462 [2 per cell]
I 0.059 0.947 0.830 [2 per cell]
I 0.110 0.602 0.842 [2 per cell]
I 0.201 0.606 0.220 [2 per cell]
I 0.225 0.443 0.567 [2 per cell]
I 0.338 0.209 0.010 [2 per cell]
I 0.407 0.934 0.303 [2 per cell]
I 0.461 0.249 0.330 [2 per cell]

Diffraction record for TaTe2I2. The X-ray powder pattern is theoretical, not measured: it uses DFT lattice parameters and positions (PBE) and CuKα.

The 6 most intense peaks (10 to 90 degrees two-theta), by angle:
2theta  I_rel
11.1  100
14.9  26
15.1  26
29.5  65
36.2  21
37.9  27

Structure:
Cell: 7.322 12.706 8.678 Å, 90.00 113.76 90.00°
Space group C2/m (No. 12)
One atom of each set of equivalent atoms:
Ta 0.000 0.122 0.000 [4 per cell]
Te 0.137 0.000 0.303 [4 per cell]
Te 0.146 0.500 0.884 [4 per cell]
I 0.212 0.212 0.792 [8 per cell]

Diffraction record for TaTe4I. The X-ray powder pattern is theoretical, not measured: it uses DFT lattice parameters and positions (PBE) and CuKα.

The 6 most intense peaks (10 to 90 degrees two-theta), by angle:
2theta  I_rel
11.3  77
12.1  100
12.5  35
30.4  38
32.7  31
33.5  28

Structure:
Cell: 6.772 8.234 9.128 Å, 115.25 101.45 101.15°
Space group P-1 (No. 2)
One atom of each set of equivalent atoms:
Ta 0.250 0.000 0.000 [2 per cell]
Te 0.021 0.876 0.187 [2 per cell]
Te 0.123 0.325 0.178 [2 per cell]
Te 0.386 0.850 0.704 [2 per cell]
Te 0.459 0.754 0.065 [2 per cell]
I 0.244 0.399 0.565 [2 per cell]

Diffraction record for Th2TaTe2I4. The X-ray powder pattern is theoretical, not measured: it uses DFT lattice parameters and positions (PBE) and CuKα.

The 6 most intense peaks (10 to 90 degrees two-theta), by angle:
2theta  I_rel
10.6  100
26.4  52
30.1  56
32.0  76
39.3  27
46.7  44

Structure:
Cell: 3.8911 3.8911 25.0661 Å, 90.00 90.00 120.00°
Space group P3m1 (No. 156)
One atom of each set of equivalent atoms:
Th 0.0000 0.0000 0.0000 [1 per cell]
Th 0.3333 0.6667 0.3471 [1 per cell]
Ta 0.3333 0.6667 0.6870 [1 per cell]
Te 0.0000 0.0000 0.6166 [1 per cell]
Te 0.0000 0.0000 0.7574 [1 per cell]
I 0.0000 0.0000 0.2551 [1 per cell]
I 0.0000 0.0000 0.4387 [1 per cell]
I 0.3333 0.6667 0.0920 [1 per cell]
I 0.3333 0.6667 0.9085 [1 per cell]

Diffraction record for Ta3Tl2I9. The X-ray powder pattern is theoretical, not measured: it uses DFT lattice parameters and positions (PBE) and CuKα.

The 6 most intense peaks (10 to 90 degrees two-theta), by angle:
2theta  I_rel
10.4  100
26.7  53
26.9  59
28.0  50
29.3  76
33.2  67

Structure:
Cell: 11.648 18.692 10.979 Å, 90.00 114.98 90.00°
Space group C2/m (No. 12)
One atom of each set of equivalent atoms:
Ta 0.109 0.000 0.389 [4 per cell]
Ta 0.117 0.079 0.626 [8 per cell]
Tl 0.107 0.339 0.841 [8 per cell]
I 0.000 0.208 0.500 [4 per cell]
I 0.012 0.103 0.811 [8 per cell]
I 0.191 0.500 0.169 [4 per cell]
I 0.200 0.298 0.174 [8 per cell]
I 0.204 0.395 0.480 [8 per cell]
I 0.223 0.500 0.781 [4 per cell]

Diffraction record for Tb2I3. The X-ray powder pattern is theoretical, not measured: it uses DFT lattice parameters and positions (PBE) and CuKα.

The 6 most intense peaks (10 to 90 degrees two-theta), by angle:
2theta  I_rel
18.6  20
26.9  33
29.0  100
38.1  20
38.5  30
40.2  19

Structure:
Cell: 20.496 4.099 11.382 Å, 90.00 111.47 90.00°
Space group C2/m (No. 12)
One atom of each set of equivalent atoms:
Tb 0.074 0.000 0.243 [4 per cell]
Tb 0.074 0.500 0.969 [4 per cell]
I 0.075 0.000 0.756 [4 per cell]
I 0.138 0.500 0.455 [4 per cell]
I 0.190 0.000 0.134 [4 per cell]

Diffraction record for Tb6Te8I. The X-ray powder pattern is theoretical, not measured: it uses DFT lattice parameters and positions (PBE) and CuKα.

The 6 most intense peaks (10 to 90 degrees two-theta), by angle:
2theta  I_rel
25.8  39
26.4  40
30.4  100
31.1  37
36.2  88
43.2  43

Structure:
Cell: 11.9602 11.9602 4.4530 Å, 90.00 90.00 120.00°
Space group P-3 (No. 147)
One atom of each set of equivalent atoms:
Tb 0.1374 0.4787 0.2494 [6 per cell]
Te 0.0478 0.6825 0.2517 [6 per cell]
Te 0.3333 0.6667 0.7496 [2 per cell]
I 0.0000 0.0000 0.0000 [1 per cell]

Diffraction record for Tb2TlI. The X-ray powder pattern is theoretical, not measured: it uses DFT lattice parameters and positions (PBE) and CuKα.

The 6 most intense peaks (10 to 90 degrees two-theta), by angle:
2theta  I_rel
28.2  100
40.1  41
40.4  34
49.7  21
65.7  18
66.2  13

Structure:
Cell: 4.4953 4.4953 21.7874 Å, 90.00 90.00 120.00°
Space group R-3m (No. 166, hexagonal axes)
One atom of each set of equivalent atoms:
Tb 0.0000 0.0000 0.2386 [6 per cell]
Tl 0.0000 0.0000 0.5000 [3 per cell]
I 0.0000 0.0000 0.0000 [3 per cell]

Please write out number 5 again, unchanged.
Diffraction record for TaI4. The X-ray powder pattern is theoretical, not measured: it uses DFT lattice parameters and positions (PBE) and CuKα.

The 6 most intense peaks (10 to 90 degrees two-theta), by angle:
2theta  I_rel
12.1  45
12.3  100
12.5  68
14.3  46
26.9  63
27.1  46

Structure:
Cell: 7.675 11.184 11.333 Å, 81.22 86.79 73.06°
Space group P-1 (No. 2)
One atom of each set of equivalent atoms:
Ta 0.111 0.406 0.339 [2 per cell]
Ta 0.186 0.172 0.225 [2 per cell]
I 0.019 0.190 0.462 [2 per cell]
I 0.059 0.947 0.830 [2 per cell]
I 0.110 0.602 0.842 [2 per cell]
I 0.201 0.606 0.220 [2 per cell]
I 0.225 0.443 0.567 [2 per cell]
I 0.338 0.209 0.010 [2 per cell]
I 0.407 0.934 0.303 [2 per cell]
I 0.461 0.249 0.330 [2 per cell]